No. 1
For NaMn2Si3BH2O11, DFT lattice parameters and positions (PBE+U) gives the theoretical XRD peak list in this record (CuKα).
Intensities are scaled so that the largest is 100.

Largest 10 diffraction maxima, by angle, 10 to 90 degrees two-theta:
h k l, 2θ (°), I/Imax
0 0 1, 10.33, 100
0 1 0, 12.23, 31
0 1 2, 26.60, 74
0 2 1, 28.97, 29
0 1 -3, 30.84, 31
2 1 -1, 31.41, 76
2 -2 0, 31.65, 74
-2 3 1, 41.97, 21
-4 1 1, 52.93, 30
2 3 -4, 57.24, 24

Atomic structure:
a b c (Å): 6.9212 7.6355 9.0210
angles (deg): 100.29 102.32 102.71
Space group P-1 (No. 2)
Unique sites:
Na (0.1126, 0.3513, 0.1852) x2
Mn (0.1293, 0.8755, 0.6097) x2
Mn (0.3810, 0.1305, 0.4016) x2
Si (0.0174, 0.7411, 0.2274) x2
Si (0.2689, 0.4716, 0.6171) x2
Si (0.4616, 0.7432, 0.2161) x2
B (0.2781, 0.1270, 0.9668) x2
H (0.2972, 0.8627, 0.9164) x2
H (0.4526, 0.2379, 0.1827) x2
O (0.0861, 0.9222, 0.3722) x2
O (0.0921, 0.4441, 0.7180) x2
O (0.1263, 0.2278, 0.9265) x2
O (0.1873, 0.3145, 0.4524) x2
O (0.1966, 0.9284, 0.8755) x2
O (0.2087, 0.6790, 0.1713) x2
O (0.3216, 0.1418, 0.1396) x2
O (0.3266, 0.6854, 0.6043) x2
O (0.4404, 0.0779, 0.6358) x2
O (0.4755, 0.4378, 0.7308) x2
O (0.4775, 0.2142, 0.9404) x2



No. 2
For Mn4Si4SnB2H2O18, DFT lattice parameters and positions (PBE+U) gives the theoretical XRD peak list in this record (CuKα).
Intensities are scaled so that the largest is 100.

Largest 10 diffraction maxima, by angle, 10 to 90 degrees two-theta:
h k l, 2θ (°), I/Imax
1 0 1, 14.26, 36
1 0 0, 14.57, 38
1 1 0, 16.51, 43
1 -1 1, 20.24, 37
0 0 2, 25.87, 66
0 1 -2, 27.37, 55
2 -1 1, 31.31, 100
2 2 1, 31.61, 90
0 1 -3, 39.79, 44
4 1 2, 51.86, 41

Atomic structure:
a b c (Å): 7.0521 7.4617 7.7747
angles (deg): 89.97 63.04 76.89
Space group P-1 (No. 2)
Unique sites:
Mn (0.1901, 0.2227, 0.2647) x2
Mn (0.3057, 0.7888, 0.7359) x2
Si (0.0750, 0.8258, 0.2414) x2
Si (0.4692, 0.1765, 0.7765) x2
Sn (0.0000, 0.5000, 0.0000) x1
B (0.2506, 0.3764, 0.5697) x2
H (0.3286, 0.5458, 0.3399) x2
O (0.0141, 0.9514, 0.7356) x2
O (0.0908, 0.2700, 0.5785) x2
O (0.1231, 0.7203, 0.0347) x2
O (0.1430, 0.5437, 0.7087) x2
O (0.2736, 0.3048, 0.9779) x2
O (0.3014, 0.7697, 0.2638) x2
O (0.3544, 0.4139, 0.3618) x2
O (0.4351, 0.2508, 0.5896) x2
O (0.4911, 0.9576, 0.7900) x2



Repeat the first record exactly.
For NaMn2Si3BH2O11, DFT lattice parameters and positions (PBE+U) gives the theoretical XRD peak list in this record (CuKα).
Intensities are scaled so that the largest is 100.

Largest 10 diffraction maxima, by angle, 10 to 90 degrees two-theta:
h k l, 2θ (°), I/Imax
0 0 1, 10.33, 100
0 1 0, 12.23, 31
0 1 2, 26.60, 74
0 2 1, 28.97, 29
0 1 -3, 30.84, 31
2 1 -1, 31.41, 76
2 -2 0, 31.65, 74
-2 3 1, 41.97, 21
-4 1 1, 52.93, 30
2 3 -4, 57.24, 24

Atomic structure:
a b c (Å): 6.9212 7.6355 9.0210
angles (deg): 100.29 102.32 102.71
Space group P-1 (No. 2)
Unique sites:
Na (0.1126, 0.3513, 0.1852) x2
Mn (0.1293, 0.8755, 0.6097) x2
Mn (0.3810, 0.1305, 0.4016) x2
Si (0.0174, 0.7411, 0.2274) x2
Si (0.2689, 0.4716, 0.6171) x2
Si (0.4616, 0.7432, 0.2161) x2
B (0.2781, 0.1270, 0.9668) x2
H (0.2972, 0.8627, 0.9164) x2
H (0.4526, 0.2379, 0.1827) x2
O (0.0861, 0.9222, 0.3722) x2
O (0.0921, 0.4441, 0.7180) x2
O (0.1263, 0.2278, 0.9265) x2
O (0.1873, 0.3145, 0.4524) x2
O (0.1966, 0.9284, 0.8755) x2
O (0.2087, 0.6790, 0.1713) x2
O (0.3216, 0.1418, 0.1396) x2
O (0.3266, 0.6854, 0.6043) x2
O (0.4404, 0.0779, 0.6358) x2
O (0.4755, 0.4378, 0.7308) x2
O (0.4775, 0.2142, 0.9404) x2